This entry pairs a crystal structure of CaCe2PrSb4 with its simulated XRD peak list. Radiation: a wavelength of 1.5418 Å. Structure: a crystal structure in Alexandria, relaxed with GGA-PBE.
Neutral-atom scattering factors, no anomalous dispersion.

Most intense lines, 10° ≤ 2θ ≤ 90°, by angle:
2θ 27.90, rel. 100, hkl 1 1 1
2θ 39.78, rel. 38, hkl 0 2 0
2θ 39.94, rel. 38, hkl 2 0 2
2θ 49.28, rel. 21, hkl 0 0 4
2θ 65.11, rel. 18, hkl 1 3 1
2θ 65.34, rel. 17, hkl 4 2 0

Crystal structure
```
data_CaCe2PrSb4
_chemical_formula_sum 'Ca1 Ce2 Pr1 Sb4'
_cell_length_a 7.808
_cell_length_b 4.533
_cell_length_c 7.849
_cell_angle_alpha 90.00
_cell_angle_beta 109.57
_cell_angle_gamma 90.00
_symmetry_space_group_name_H-M 'P 1 2/m 1'
_symmetry_Int_Tables_number 10
loop_
_symmetry_equiv_pos_as_xyz
'x,y,z'
'-x,-y,-z'
'-x,y,-z'
'x,-y,z'
loop_
_atom_site_label
_atom_site_type_symbol
_atom_site_fract_x
_atom_site_fract_y
_atom_site_fract_z
_atom_site_occupancy
Ca1 Ca 0.000 0.000 0.000 1
Ce1 Ce 0.500 0.000 0.500 1
Ce2 Ce 0.500 0.500 0.000 1
Pr1 Pr 0.000 0.500 0.500 1
Sb1 Sb 0.257 0.000 0.752 1
Sb2 Sb 0.259 0.500 0.253 1
```

This entry pairs a crystal structure of CaCePr4Se8 with its simulated XRD peak list. Radiation: a wavelength of 1.5418 Å. Structure: a crystal structure in Alexandria, relaxed with GGA-PBE.
Neutral-atom scattering factors, no anomalous dispersion.

Most intense lines, 10° ≤ 2θ ≤ 90°, by angle:
2θ 12.38, rel. 30, hkl 0 0 3
2θ 23.82, rel. 75, hkl 0 2 1
2θ 28.83, rel. 73, hkl 0 2 4
2θ 37.74, rel. 43, hkl 1 2 5
2θ 41.23, rel. 100, hkl 2 0 8
2θ 75.15, rel. 31, hkl 0 2 16

Crystal structure
```
data_CaCePr4Se8
_chemical_formula_sum 'Ca3 Ce3 Pr12 Se24'
_cell_length_a 8.7557
_cell_length_b 8.7557
_cell_length_c 21.4712
_cell_angle_alpha 90.00
_cell_angle_beta 90.00
_cell_angle_gamma 120.00
_symmetry_space_group_name_H-M 'R 3 m'
_symmetry_Int_Tables_number 160
_symmetry_space_group_name_Hall 'R 3 -2"'
loop_
_atom_site_label
_atom_site_type_symbol
_atom_site_fract_x
_atom_site_fract_y
_atom_site_fract_z
_atom_site_occupancy
Ca1 Ca 0.0000 0.0000 0.0000 1
Ce1 Ce 0.0000 0.0000 0.3737 1
Pr1 Pr 0.0000 0.0000 0.7507 1
Pr2 Pr 0.0053 0.5027 0.8760 1
Se1 Se 0.0000 0.0000 0.1327 1
Se2 Se 0.0000 0.0000 0.6175 1
Se3 Se 0.0227 0.5113 0.1279 1
Se4 Se 0.1772 0.3544 0.9564 1
```

This entry pairs a crystal structure of Ca3Ce3Pt4 with its simulated XRD peak list. Radiation: a wavelength of 1.5418 Å. Structure: a crystal structure in Alexandria, relaxed with GGA-PBE.
Neutral-atom scattering factors, no anomalous dispersion.

Most intense lines, 10° ≤ 2θ ≤ 90°, by angle:
2θ 15.48, rel. 39, hkl 0 0 2
2θ 33.72, rel. 83, hkl 1 1 3
2θ 34.07, rel. 100, hkl 1 3 1
2θ 35.22, rel. 28, hkl 0 2 4
2θ 35.74, rel. 25, hkl 0 4 2
2θ 66.81, rel. 30, hkl 1 3 7

Crystal structure
```
data_Ca3Ce3Pt4
_chemical_formula_sum 'Ca6 Ce6 Pt8'
_cell_length_a 3.926
_cell_length_b 11.185
_cell_length_c 11.450
_cell_angle_alpha 90.00
_cell_angle_beta 90.00
_cell_angle_gamma 90.00
_symmetry_space_group_name_H-M 'A m m 2'
_symmetry_Int_Tables_number 38
loop_
_symmetry_equiv_pos_as_xyz
'x,y,z'
'-x,-y,z'
'-x,y,z'
'x,-y,z'
'x,y+1/2,z+1/2'
'-x,-y+1/2,z+1/2'
'-x,y+1/2,z+1/2'
'x,-y+1/2,z+1/2'
loop_
_atom_site_label
_atom_site_type_symbol
_atom_site_fract_x
_atom_site_fract_y
_atom_site_fract_z
_atom_site_occupancy
Ca1 Ca 0.000 0.000 0.000 1
Ca2 Ca 0.500 0.244 0.091 1
Ce1 Ce 0.000 0.000 0.688 1
Ce2 Ce 0.000 0.158 0.344 1
Pt1 Pt 0.500 0.000 0.217 1
Pt2 Pt 0.500 0.000 0.488 1
Pt3 Pt 0.500 0.143 0.833 1
```

This entry pairs a crystal structure of Ca2CePuS4 with its simulated XRD peak list. Radiation: a wavelength of 1.5418 Å. Structure: a crystal structure in Alexandria, relaxed with GGA-PBE.
Neutral-atom scattering factors, no anomalous dispersion.

Most intense lines, 10° ≤ 2θ ≤ 90°, by angle:
2θ 13.33, rel. 55, hkl 0 0 1
2θ 26.05, rel. 27, hkl 1 1 0
2θ 27.22, rel. 42, hkl 2 0 0
2θ 31.42, rel. 100, hkl 1 1 1
2θ 44.80, rel. 36, hkl 2 0 2
2θ 45.27, rel. 35, hkl 0 2 0

Crystal structure
```
data_Ca2CePuS4
_chemical_formula_sum 'Ca2 Ce1 Pu1 S4'
_cell_length_a 6.935
_cell_length_b 4.009
_cell_length_c 7.032
_cell_angle_alpha 90.00
_cell_angle_beta 109.22
_cell_angle_gamma 90.00
_symmetry_space_group_name_H-M 'P 1 2/m 1'
_symmetry_Int_Tables_number 10
loop_
_symmetry_equiv_pos_as_xyz
'x,y,z'
'-x,-y,-z'
'-x,y,-z'
'x,-y,z'
loop_
_atom_site_label
_atom_site_type_symbol
_atom_site_fract_x
_atom_site_fract_y
_atom_site_fract_z
_atom_site_occupancy
Ca1 Ca 0.000 0.000 0.000 1
Ca2 Ca 0.500 0.500 0.000 1
Ce1 Ce 0.000 0.500 0.500 1
Pu1 Pu 0.500 0.000 0.500 1
S1 S 0.252 0.500 0.250 1
S2 S 0.253 0.000 0.753 1
```